Simulated XRD peak list of NdSmSiHg for a wavelength of 1.5418 Å, from a cell relaxed with PBE.
Kinematic intensities with the Lorentz-polarization factor, no thermal factor.

Structural model:
```
NdSmSiHg
1.0
0.0000 3.7124 3.7124
3.7124 0.0000 3.7124
3.7124 3.7124 0.0000
Nd Sm Si Hg
1 1 1 1
Direct
0.0000 0.0000 0.0000
0.5000 0.5000 0.5000
0.7500 0.7500 0.7500
0.2500 0.2500 0.2500
```

Most intense lines, 10 to 80 degrees two-theta, low angle first:
two_theta  I (rel.)
20.7  23.8
34.2  100.0
40.3  14.0
49.1  18.1
53.8  6.1
61.1  37.5
65.3  4.6
71.9  11.6